[1]
The following is a simulated XRD peak list of Cu2HgTe4. It was derived from the PBE geometry in Alexandria, using copper Kα.
Neutral-atom scattering factors, no anomalous dispersion.

Crystal structure
```
data_Cu2HgTe4
_chemical_formula_sum 'Cu4 Hg2 Te8'
_cell_length_a 6.5835
_cell_length_b 8.0699
_cell_length_c 8.9505
_cell_angle_alpha 115.07
_cell_angle_beta 109.52
_cell_angle_gamma 94.24
_symmetry_space_group_name_H-M 'P 1'
_symmetry_Int_Tables_number 1
_symmetry_space_group_name_Hall 'P 1'
loop_
_atom_site_label
_atom_site_fract_x
_atom_site_fract_y
_atom_site_fract_z
_atom_site_occupancy
Cu1 0.0000 0.0000 0.0000 1
Cu2 0.0686 0.5695 0.1382 1
Cu3 0.1520 0.6009 0.7030 1
Cu4 0.5172 0.4657 0.4337 1
Hg1 0.4674 0.1596 0.7660 1
Hg2 0.7700 0.9620 0.3716 1
Te1 0.2488 0.2914 0.5248 1
Te2 0.2704 0.7855 0.0527 1
Te3 0.2842 0.7521 0.5331 1
Te4 0.2859 0.3015 0.0843 1
Te5 0.7763 0.7454 0.0332 1
Te6 0.7926 0.3353 0.6123 1
Te7 0.8119 0.2808 0.1042 1
Te8 0.8193 0.7872 0.6041 1
```

Most intense lines, 10 to 90 degrees two-theta, in order of rising 2θ:
| Position (°2θ) | d_spacing | I/Imax |
| --- | --- | --- |
| 25.18 | 3.537 | 81 |
| 29.76 | 3.002 | 100 |
| 33.95 | 2.641 | 68 |
| 42.00 | 2.151 | 84 |
| 42.95 | 2.106 | 74 |
| 45.03 | 2.013 | 74 |



[2]
The following is a simulated XRD peak list of Ca2Pm4Bi3N2. It was derived from the PBE geometry in Alexandria, using copper Kα.
Neutral-atom scattering factors, no anomalous dispersion.

Crystal structure
```
data_Ca2Pm4Bi3N2
_chemical_formula_sum 'Ca2 Pm4 Bi3 N2'
_cell_length_a 13.4005
_cell_length_b 13.4005
_cell_length_c 13.4005
_cell_angle_alpha 158.98
_cell_angle_beta 158.98
_cell_angle_gamma 29.89
_symmetry_space_group_name_H-M 'P 1'
_symmetry_Int_Tables_number 1
_symmetry_space_group_name_Hall 'P 1'
loop_
_atom_site_label
_atom_site_fract_x
_atom_site_fract_y
_atom_site_fract_z
_atom_site_occupancy
Ca1 0.1928 0.1928 0.0000 1
Ca2 0.8072 0.8072 0.0000 1
Pm1 0.0871 0.5871 0.5000 1
Pm2 0.4129 0.9129 0.5000 1
Pm3 0.5871 0.0871 0.5000 1
Pm4 0.9129 0.4129 0.5000 1
Bi1 0.3205 0.3205 0.0000 1
Bi2 0.5000 0.5000 0.0000 1
Bi3 0.6795 0.6795 0.0000 1
N1 0.1009 0.1009 0.0000 1
N2 0.8991 0.8991 0.0000 1
```

Most intense lines, 10 to 90 degrees two-theta, in order of rising 2θ:
| Position (°2θ) | d_spacing | I/Imax |
| --- | --- | --- |
| 18.47 | 4.803 | 31 |
| 25.05 | 3.555 | 34 |
| 29.29 | 3.049 | 20 |
| 33.21 | 2.698 | 100 |
| 36.78 | 2.444 | 48 |
| 63.99 | 1.455 | 35 |



[3]
The following is a simulated XRD peak list of TaNi2H4. It was derived from the PBE geometry in Alexandria, using copper Kα.
Neutral-atom scattering factors, no anomalous dispersion.

Crystal structure
```
data_TaNi2H4
_chemical_formula_sum 'Ta2 Ni4 H8'
_cell_length_a 5.2557
_cell_length_b 5.2557
_cell_length_c 5.2557
_cell_angle_alpha 120.06
_cell_angle_beta 120.06
_cell_angle_gamma 89.89
_symmetry_space_group_name_H-M 'P 1'
_symmetry_Int_Tables_number 1
_symmetry_space_group_name_Hall 'P 1'
loop_
_atom_site_label
_atom_site_fract_x
_atom_site_fract_y
_atom_site_fract_z
_atom_site_occupancy
Ta1 0.3750 0.6250 0.7500 1
Ta2 0.6250 0.3750 0.2500 1
Ni1 0.0000 0.0000 0.0000 1
Ni2 0.0000 0.0000 0.5000 1
Ni3 0.0000 0.5000 0.0000 1
Ni4 0.5000 0.0000 0.5000 1
H1 0.1786 0.2260 0.9527 1
H2 0.2260 0.1786 0.4527 1
H3 0.2260 0.7733 0.0473 1
H4 0.2267 0.7740 0.4527 1
H5 0.7733 0.2260 0.5473 1
H6 0.7740 0.2267 0.9527 1
H7 0.7740 0.8214 0.5473 1
H8 0.8214 0.7740 0.0473 1
```

Most intense lines, 10 to 90 degrees two-theta, in order of rising 2θ:
| Position (°2θ) | d_spacing | I/Imax |
| --- | --- | --- |
| 20.71 | 4.290 | 17 |
| 34.13 | 2.627 | 69 |
| 40.25 | 2.240 | 100 |
| 61.10 | 1.517 | 26 |
| 65.29 | 1.429 | 16 |
| 71.88 | 1.314 | 23 |



[4]
The following is a simulated XRD peak list of La8MgHg2. It was derived from the PBE geometry in Alexandria, using copper Kα.
Neutral-atom scattering factors, no anomalous dispersion.

Crystal structure
```
data_La8MgHg2
_chemical_formula_sum 'La8 Mg1 Hg2'
_cell_length_a 9.2836
_cell_length_b 9.2836
_cell_length_c 9.2836
_cell_angle_alpha 147.08
_cell_angle_beta 122.13
_cell_angle_gamma 68.21
_symmetry_space_group_name_H-M 'P 1'
_symmetry_Int_Tables_number 1
_symmetry_space_group_name_Hall 'P 1'
loop_
_atom_site_label
_atom_site_fract_x
_atom_site_fract_y
_atom_site_fract_z
_atom_site_occupancy
La1 0.1225 0.3430 0.7796 1
La2 0.1427 0.1427 0.0000 1
La3 0.3314 0.0000 0.3314 1
La4 0.4366 0.6570 0.7796 1
La5 0.5634 0.3430 0.2204 1
La6 0.6686 0.0000 0.6686 1
La7 0.8573 0.8573 0.0000 1
La8 0.8775 0.6570 0.2204 1
Mg1 0.0000 0.5000 0.5000 1
Hg1 0.3011 0.8011 0.5000 1
Hg2 0.6989 0.1989 0.5000 1
```

Most intense lines, 10 to 90 degrees two-theta, in order of rising 2θ:
| Position (°2θ) | d_spacing | I/Imax |
| --- | --- | --- |
| 26.73 | 3.335 | 16 |
| 30.46 | 2.935 | 33 |
| 31.47 | 2.842 | 100 |
| 34.08 | 2.630 | 30 |
| 36.45 | 2.465 | 17 |
| 59.40 | 1.556 | 24 |



[5]
The following is a simulated XRD peak list of Pm4Y3UN8. It was derived from the PBE geometry in Alexandria, using copper Kα.
Neutral-atom scattering factors, no anomalous dispersion.

Crystal structure
```
data_Pm4Y3UN8
_chemical_formula_sum 'Pm4 Y3 U1 N8'
_cell_length_a 7.0805
_cell_length_b 7.0805
_cell_length_c 7.0805
_cell_angle_alpha 59.67
_cell_angle_beta 59.67
_cell_angle_gamma 59.67
_symmetry_space_group_name_H-M 'P 1'
_symmetry_Int_Tables_number 1
_symmetry_space_group_name_Hall 'P 1'
loop_
_atom_site_label
_atom_site_fract_x
_atom_site_fract_y
_atom_site_fract_z
_atom_site_occupancy
Pm1 0.0000 0.0000 0.0000 1
Pm2 0.0000 0.5000 0.5000 1
Pm3 0.5000 0.0000 0.5000 1
Pm4 0.5000 0.5000 0.0000 1
Y1 0.0000 0.0000 0.5000 1
Y2 0.0000 0.5000 0.0000 1
Y3 0.5000 0.0000 0.0000 1
U1 0.5000 0.5000 0.5000 1
N1 0.2469 0.2469 0.2469 1
N2 0.2598 0.7335 0.7335 1
N3 0.2665 0.2665 0.7402 1
N4 0.2665 0.7402 0.2665 1
N5 0.7335 0.2598 0.7335 1
N6 0.7335 0.7335 0.2598 1
N7 0.7402 0.2665 0.2665 1
N8 0.7531 0.7531 0.7531 1
```

Most intense lines, 10 to 90 degrees two-theta, in order of rising 2θ:
| Position (°2θ) | d_spacing | I/Imax |
| --- | --- | --- |
| 30.86 | 2.898 | 34 |
| 31.07 | 2.878 | 99 |
| 35.97 | 2.497 | 100 |
| 51.64 | 1.770 | 34 |
| 51.92 | 1.761 | 34 |
| 61.63 | 1.505 | 30 |



[6]
The following is a simulated XRD peak list of Ag7Pt5. It was derived from the PBE geometry in Alexandria, using copper Kα.
Neutral-atom scattering factors, no anomalous dispersion.

Crystal structure
```
data_Ag7Pt5
_chemical_formula_sum 'Ag7 Pt5'
_cell_length_a 9.0990
_cell_length_b 9.0990
_cell_length_c 4.9201
_cell_angle_alpha 100.64
_cell_angle_beta 100.64
_cell_angle_gamma 142.78
_symmetry_space_group_name_H-M 'P 1'
_symmetry_Int_Tables_number 1
_symmetry_space_group_name_Hall 'P 1'
loop_
_atom_site_label
_atom_site_fract_x
_atom_site_fract_y
_atom_site_fract_z
_atom_site_occupancy
Ag1 0.0000 0.0000 0.0000 1
Ag2 0.0873 0.9127 0.5000 1
Ag3 0.1717 0.8283 0.0000 1
Ag4 0.5811 0.4189 0.5000 1
Ag5 0.7500 0.2500 0.5000 1
Ag6 0.8314 0.1686 0.0000 1
Ag7 0.9186 0.0814 0.5000 1
Pt1 0.2541 0.7459 0.5000 1
Pt2 0.3388 0.6612 0.0000 1
Pt3 0.4148 0.5852 0.5000 1
Pt4 0.4992 0.5008 0.0000 1
Pt5 0.6647 0.3353 0.0000 1
```

Most intense lines, 10 to 90 degrees two-theta, in order of rising 2θ:
| Position (°2θ) | d_spacing | I/Imax |
| --- | --- | --- |
| 38.00 | 2.368 | 35 |
| 38.53 | 2.337 | 100 |
| 44.34 | 2.043 | 44 |
| 45.20 | 2.006 | 21 |
| 64.84 | 1.438 | 21 |
| 77.72 | 1.229 | 16 |



[7]
The following is a simulated XRD peak list of LaSm3Co2. It was derived from the PBE geometry in Alexandria, using copper Kα.
Neutral-atom scattering factors, no anomalous dispersion.

Crystal structure
```
data_LaSm3Co2
_chemical_formula_sum 'La2 Sm6 Co4'
_cell_length_a 8.7189
_cell_length_b 8.7189
_cell_length_c 12.1626
_cell_angle_alpha 124.55
_cell_angle_beta 124.55
_cell_angle_gamma 25.09
_symmetry_space_group_name_H-M 'P 1'
_symmetry_Int_Tables_number 1
_symmetry_space_group_name_Hall 'P 1'
loop_
_atom_site_label
_atom_site_fract_x
_atom_site_fract_y
_atom_site_fract_z
_atom_site_occupancy
La1 0.1595 0.1595 0.2582 1
La2 0.8405 0.8405 0.7418 1
Sm1 0.1576 0.1576 0.7515 1
Sm2 0.4127 0.4127 0.0557 1
Sm3 0.4167 0.4167 0.5528 1
Sm4 0.5833 0.5833 0.4472 1
Sm5 0.5873 0.5873 0.9443 1
Sm6 0.8424 0.8424 0.2485 1
Co1 0.2345 0.2345 0.0461 1
Co2 0.2369 0.2369 0.5572 1
Co3 0.7631 0.7631 0.4428 1
Co4 0.7655 0.7655 0.9539 1
```

Most intense lines, 10 to 90 degrees two-theta, in order of rising 2θ:
| Position (°2θ) | d_spacing | I/Imax |
| --- | --- | --- |
| 29.15 | 3.063 | 75 |
| 29.78 | 3.001 | 64 |
| 30.51 | 2.930 | 69 |
| 31.86 | 2.809 | 59 |
| 32.62 | 2.745 | 100 |
| 35.46 | 2.531 | 37 |



[8]
The following is a simulated XRD peak list of Sc5GaSb4. It was derived from the PBE geometry in Alexandria, using copper Kα.
Neutral-atom scattering factors, no anomalous dispersion.

Crystal structure
```
data_Sc5GaSb4
_chemical_formula_sum 'Sc5 Ga1 Sb4'
_cell_length_a 7.1469
_cell_length_b 7.1469
_cell_length_c 7.1469
_cell_angle_alpha 99.58
_cell_angle_beta 99.58
_cell_angle_gamma 131.85
_symmetry_space_group_name_H-M 'P 1'
_symmetry_Int_Tables_number 1
_symmetry_space_group_name_Hall 'P 1'
loop_
_atom_site_label
_atom_site_fract_x
_atom_site_fract_y
_atom_site_fract_z
_atom_site_occupancy
Sc1 0.0000 0.0000 0.0000 1
Sc2 0.2038 0.6010 0.8047 1
Sc3 0.3990 0.2038 0.6028 1
Sc4 0.6010 0.7962 0.3972 1
Sc5 0.7962 0.3990 0.1953 1
Ga1 0.5000 0.5000 0.0000 1
Sb1 0.0972 0.3004 0.3976 1
Sb2 0.3004 0.9028 0.2032 1
Sb3 0.6996 0.0972 0.7968 1
Sb4 0.9028 0.6996 0.6024 1
```

Most intense lines, 10 to 90 degrees two-theta, in order of rising 2θ:
| Position (°2θ) | d_spacing | I/Imax |
| --- | --- | --- |
| 26.46 | 3.369 | 35 |
| 30.65 | 2.917 | 100 |
| 43.89 | 2.063 | 72 |
| 54.48 | 1.684 | 25 |
| 72.44 | 1.305 | 31 |
| 80.68 | 1.191 | 23 |